No. 1
Computed powder X-ray diffraction pattern
Compound: LiV3F10
Radiation: Cu Kα (weighted mean of Kα1 and Kα2)
Structure: the GGA+U geometry in the Materials Project
Intensities are scaled so that the largest is 100.

Largest 10 diffraction maxima, in order of falling intensity, 2θ from 5° to 70°:
Position (°2θ), I_rel
22.30, 100
18.60, 52
27.26, 46
45.49, 34
51.08, 18
14.67, 18
46.13, 17
46.66, 14
11.37, 13
29.59, 12

Crystal structure
Lattice parameters (Å, degrees): 3.987 6.038 15.571 90.00 90.73 90.00
Space group Pc (No. 7)
Asymmetric unit:
Li: 0.000 0.008 0.000 [2 per cell]
V: 0.072 0.003 0.245 [2 per cell]
V: 0.082 0.443 0.610 [2 per cell]
V: 0.087 0.464 0.893 [2 per cell]
F: 0.016 0.106 0.619 [2 per cell]
F: 0.064 0.135 0.868 [2 per cell]
F: 0.065 0.268 0.326 [2 per cell]
F: 0.067 0.316 0.010 [2 per cell]
F: 0.087 0.271 0.169 [2 per cell]
F: 0.106 0.298 0.487 [2 per cell]
F: 0.121 0.342 0.736 [2 per cell]
F: 0.572 0.002 0.246 [2 per cell]
F: 0.581 0.446 0.603 [2 per cell]
F: 0.583 0.457 0.892 [2 per cell]


No. 2
Computed powder X-ray diffraction pattern
Compound: LiVF5
Radiation: Cu Kα (weighted mean of Kα1 and Kα2)
Structure: the GGA+U geometry in the Materials Project
Intensities are scaled so that the largest is 100.

Largest 10 diffraction maxima, in order of falling intensity, 2θ from 5° to 70°:
Position (°2θ), I_rel
17.67, 100
25.09, 46
45.15, 29
28.01, 22
28.61, 12
21.13, 10
22.52, 9
44.42, 8
40.21, 8
33.29, 7

Crystal structure
Lattice parameters (Å, degrees): 5.226 10.057 6.646 90.00 106.52 90.00
Space group P2_1/c (No. 14)
Asymmetric unit:
Li: 0.055 0.243 0.384 [4 per cell]
V: 0.446 0.031 0.744 [4 per cell]
F: 0.157 0.584 0.195 [4 per cell]
F: 0.217 0.176 0.675 [4 per cell]
F: 0.248 0.635 0.689 [4 per cell]
F: 0.372 0.089 0.021 [4 per cell]
F: 0.397 0.092 0.403 [4 per cell]


No. 3
Computed powder X-ray diffraction pattern
Compound: Li3VF6
Radiation: Cu Kα (weighted mean of Kα1 and Kα2)
Structure: the GGA+U geometry in the Materials Project
Intensities are scaled so that the largest is 100.

Largest 10 diffraction maxima, in order of falling intensity, 2θ from 5° to 70°:
Position (°2θ), I_rel
21.06, 100
17.83, 96
23.01, 96
46.76, 96
37.45, 62
27.29, 55
37.24, 50
20.49, 47
57.04, 36
47.34, 34

Crystal structure
Lattice parameters (Å, degrees): 5.168 8.669 5.324 90.00 110.87 90.00
Space group P2_1 (No. 4)
Asymmetric unit:
Li: 0.081 0.000 0.011 [2 per cell]
Li: 0.298 0.997 0.547 [2 per cell]
Li: 0.403 0.675 0.894 [2 per cell]
V: 0.248 0.336 0.518 [2 per cell]
F: 0.144 0.499 0.721 [2 per cell]
F: 0.153 0.839 0.724 [2 per cell]
F: 0.249 0.166 0.773 [2 per cell]
F: 0.295 0.486 0.263 [2 per cell]
F: 0.324 0.171 0.296 [2 per cell]
F: 0.358 0.863 0.268 [2 per cell]


No. 4
Computed powder X-ray diffraction pattern
Compound: LiVF5
Radiation: Cu Kα (weighted mean of Kα1 and Kα2)
Structure: the GGA+U geometry in the Materials Project
Intensities are scaled so that the largest is 100.

Largest 10 diffraction maxima, in order of falling intensity, 2θ from 5° to 70°:
Position (°2θ), I_rel
18.12, 100
25.74, 59
26.43, 57
26.89, 46
46.38, 32
20.29, 24
41.23, 19
47.63, 19
45.52, 12
52.90, 10

Crystal structure
Lattice parameters (Å, degrees): 5.201 9.802 7.640 90.00 109.91 90.00
Space group P2_1/c (No. 14)
Asymmetric unit:
Li: 0.021 0.018 0.274 [4 per cell]
V: 0.427 0.246 0.108 [4 per cell]
F: 0.146 0.126 0.082 [4 per cell]
F: 0.175 0.113 0.512 [4 per cell]
F: 0.289 0.635 0.842 [4 per cell]
F: 0.332 0.600 0.304 [4 per cell]
F: 0.419 0.211 0.858 [4 per cell]


No. 5
Computed powder X-ray diffraction pattern
Compound: LiVF5
Radiation: Cu Kα (weighted mean of Kα1 and Kα2)
Structure: the GGA+U geometry in the Materials Project
Intensities are scaled so that the largest is 100.

Largest 10 diffraction maxima, in order of falling intensity, 2θ from 5° to 70°:
Position (°2θ), I_rel
22.03, 100
23.47, 66
19.05, 21
50.24, 19
25.42, 17
46.27, 14
37.84, 11
52.21, 10
27.64, 9
51.57, 9

Crystal structure
Lattice parameters (Å, degrees): 9.318 5.316 8.297 90.00 90.00 90.00
Space group Pnma (No. 62)
Asymmetric unit:
Li: 0.018 0.250 0.192 [4 per cell]
V: 0.215 0.250 0.588 [4 per cell]
F: 0.108 0.012 0.695 [8 per cell]
F: 0.137 0.518 0.089 [8 per cell]
F: 0.152 0.250 0.388 [4 per cell]


No. 6
Computed powder X-ray diffraction pattern
Compound: LiV2F6
Radiation: Cu Kα (weighted mean of Kα1 and Kα2)
Structure: the GGA+U geometry in the Materials Project
Intensities are scaled so that the largest is 100.

Largest 10 diffraction maxima, in order of falling intensity, 2θ from 5° to 70°:
Position (°2θ), I_rel
26.42, 100
51.74, 70
20.86, 56
39.11, 52
65.78, 32
34.09, 32
54.40, 25
42.39, 23
18.77, 19
32.61, 16

Crystal structure
Lattice parameters (Å, degrees): 4.770 4.770 9.456 90.00 90.00 90.00
Space group P4_2/mnm (No. 136)
Asymmetric unit:
Li: 0.000 0.000 0.000 [2 per cell]
V: 0.000 0.000 0.333 [4 per cell]
F: 0.194 0.194 0.500 [4 per cell]
F: 0.199 0.199 0.169 [8 per cell]


No. 7
Computed powder X-ray diffraction pattern
Compound: LiVF5
Radiation: Cu Kα (weighted mean of Kα1 and Kα2)
Structure: the GGA+U geometry in the Materials Project
Intensities are scaled so that the largest is 100.

Largest 10 diffraction maxima, in order of falling intensity, 2θ from 5° to 70°:
Position (°2θ), I_rel
21.84, 100
16.28, 93
20.27, 72
26.44, 49
23.47, 40
13.86, 37
22.40, 29
30.79, 26
44.79, 24
49.90, 22

Crystal structure
Lattice parameters (Å, degrees): 5.277 6.020 12.779 90.00 90.00 90.00
Space group P2_12_12_1 (No. 19)
Asymmetric unit:
Li: 0.011 0.134 0.145 [4 per cell]
V: 0.175 0.379 0.590 [4 per cell]
F: 0.034 0.665 0.991 [4 per cell]
F: 0.080 0.605 0.498 [4 per cell]
F: 0.094 0.919 0.828 [4 per cell]
F: 0.129 0.424 0.169 [4 per cell]
F: 0.181 0.859 0.159 [4 per cell]


No. 8
Computed powder X-ray diffraction pattern
Compound: LiVF5
Radiation: Cu Kα (weighted mean of Kα1 and Kα2)
Structure: the GGA+U geometry in the Materials Project
Intensities are scaled so that the largest is 100.

Largest 10 diffraction maxima, in order of falling intensity, 2θ from 5° to 70°:
Position (°2θ), I_rel
18.50, 100
23.37, 80
26.28, 63
19.30, 44
42.13, 39
41.46, 29
54.09, 23
35.45, 21
32.81, 21
26.86, 19

Crystal structure
Lattice parameters (Å, degrees): 6.782 6.782 4.600 90.00 90.00 90.00
Space group P4/n (No. 85, origin choice 2)
Asymmetric unit:
Li: 0.250 0.750 0.000 [2 per cell]
V: 0.250 0.250 0.121 [2 per cell]
F: 0.014 0.712 0.784 [8 per cell]
F: 0.250 0.250 0.741 [2 per cell]


> What is the formula in the third record?

Li3VF6